[1]
Structure and simulated PXRD pattern of Cu3Au2 (a structure optimized by DFT (GGA-PBE); λ = 1.5418 Å (Cu Kα)).
Lines closer than 0.1° are merged.

Crystal structure
Unit cell a=7.724 b=7.724 c=7.724 alpha=159.28 beta=153.35 gamma=34.00
Sites, in units of the cell vectors:
1 Cu 0.000 0.000 0.000
2 Cu 0.415 0.415 0.000
3 Cu 0.585 0.585 0.000
4 Au 0.186 0.186 0.000
5 Au 0.814 0.814 0.000

Most intense lines, 10 to 80 degrees two-theta, by intensity:
Position (°2θ)  d [Å]  I/Imax
41.22  2.190  100.0
39.64  2.274  92.8
44.78  2.024  65.4
30.99  2.886  51.5
11.98  7.387  46.1
70.44  1.337  33.2
37.16  2.420  32.2
51.31  1.780  26.2
66.19  1.412  21.7
65.04  1.434  13.3

=====

[2]
Structure and simulated PXRD pattern of Na7Ti11O24 (a structure optimized by DFT (GGA-PBE); λ = 1.5418 Å (Cu Kα)).
Lines closer than 0.1° are merged.

Crystal structure
Unit cell a=10.620 b=10.620 c=6.221 alpha=106.04 beta=106.04 gamma=120.16
Sites, in units of the cell vectors:
1 Na 0.000 0.000 0.000
2 Na 0.035 0.712 0.109
3 Na 0.288 0.965 0.891
4 Na 0.386 0.386 0.149
5 Na 0.614 0.614 0.851
6 Na 0.712 0.035 0.109
7 Na 0.965 0.288 0.891
8 Ti 0.000 0.000 0.500
9 Ti 0.000 0.500 0.500
10 Ti 0.171 0.336 0.522
11 Ti 0.328 0.672 0.000
12 Ti 0.330 0.670 0.500
13 Ti 0.336 0.171 0.522
14 Ti 0.500 0.000 0.500
15 Ti 0.664 0.829 0.478
16 Ti 0.670 0.330 0.500
17 Ti 0.672 0.328 0.000
18 Ti 0.829 0.664 0.478
19 O 0.034 0.883 0.678
20 O 0.103 0.444 0.746
21 O 0.108 0.435 0.320
22 O 0.117 0.966 0.322
23 O 0.230 0.230 0.725
24 O 0.236 0.721 0.723
25 O 0.279 0.764 0.277
26 O 0.280 0.280 0.364
27 O 0.388 0.592 0.749
28 O 0.408 0.612 0.251
29 O 0.435 0.108 0.320
30 O 0.444 0.103 0.746
31 O 0.556 0.897 0.254
32 O 0.565 0.892 0.680
33 O 0.592 0.388 0.749
34 O 0.612 0.408 0.251
35 O 0.720 0.720 0.636
36 O 0.721 0.236 0.723
37 O 0.764 0.279 0.277
38 O 0.770 0.770 0.275
39 O 0.883 0.034 0.678
40 O 0.892 0.565 0.680
41 O 0.897 0.556 0.254
42 O 0.966 0.117 0.322

Most intense lines, 10 to 80 degrees two-theta, by intensity:
Position (°2θ)  d [Å]  I/Imax
34.28  2.616  100.0
41.35  2.184  87.5
17.12  5.180  86.2
17.61  5.037  82.4
60.51  1.530  45.1
40.93  2.205  43.8
17.78  4.988  42.5
58.66  1.574  40.4
33.81  2.651  37.1
33.96  2.640  35.8

=====

[3]
Structure and simulated PXRD pattern of Sm4Pd3Au (a structure optimized by DFT (GGA-PBE); λ = 1.5418 Å (Cu Kα)).
Lines closer than 0.1° are merged.

Crystal structure
Unit cell a=3.840 b=4.685 c=10.798 alpha=90.00 beta=90.00 gamma=90.00
Sites, in units of the cell vectors:
1 Sm 0.000 0.000 0.000
2 Sm 0.000 0.500 0.269
3 Sm 0.500 0.000 0.490
4 Sm 0.500 0.500 0.771
5 Pd 0.000 0.500 0.545
6 Pd 0.500 0.000 0.217
7 Pd 0.500 0.500 0.047
8 Au 0.000 0.000 0.716

Most intense lines, 10 to 80 degrees two-theta, by intensity:
Position (°2θ)  d [Å]  I/Imax
31.24  2.864  100.0
39.33  2.291  71.0
38.45  2.341  55.4
33.19  2.700  29.2
62.57  1.485  26.5
47.35  1.920  18.8
34.14  2.626  18.8
51.66  1.769  16.7
52.35  1.748  15.9
78.27  1.221  13.8